Starting from a cell relaxed with PBE, the powder diffraction line list of Dy4Tm10Sc was calculated for Cu Kα (λ = 1.5418 Å).

Principal peaks in the range 2θ = 10–90°, low angle first:
d [Å]	intensity
3.534	36
3.118	69
2.794	100
2.722	91
2.157	42
1.668	39

Cell and atoms:
```
data_Dy4Tm10Sc
_chemical_formula_sum 'Dy8 Tm20 Sc2'
_space_group_name_H-M_alt 'I 4/m m m'
_space_group_IT_number 139
_space_group_name_Hall '-I 4 2'
_cell_length_a 11.175
_cell_length_b 11.175
_cell_length_c 7.513
_cell_angle_alpha 90.00
_cell_angle_beta 90.00
_cell_angle_gamma 90.00
loop_
_atom_site_label
_atom_site_fract_x
_atom_site_fract_y
_atom_site_fract_z
Dy1 0.233 0.233 0.000
Tm1 0.000 0.208 0.284
Tm2 0.000 0.500 0.250
Sc1 0.000 0.000 0.000
```